# CsRb2TlAu2
Calculated powder diffraction line list, Cu Kα X-rays. Input: DFT lattice parameters and positions (PBE).
Intensities are scaled so that the largest is 100.

Principal peaks in the range 10 to 90 degrees two-theta, sorted by position:
| two_theta | I (rel.) |
| --- | --- |
| 12.4 | 32 |
| 17.9 | 29 |
| 25.6 | 36 |
| 27.1 | 100 |
| 27.7 | 27 |
| 32.3 | 31 |
| 33.3 | 65 |
| 36.8 | 37 |

Structural model:
Lattice parameters (Å, degrees): 4.8845 10.2207 9.9062 90.00 90.00 90.00
Element x y z (fractional)
Cs  0.0000  0.0543  0.0000
Cs  0.0000  0.9457  0.5000
Rb  0.0000  0.3117  0.4024
Rb  0.0000  0.6883  0.9024
Rb  0.5000  0.4100  0.0690
Rb  0.5000  0.5900  0.5690
Tl  0.5000  0.2207  0.7054
Tl  0.5000  0.7793  0.2054
Au  0.0000  0.3632  0.7737
Au  0.0000  0.6368  0.2737
Au  0.5000  0.0901  0.2638
Au  0.5000  0.9099  0.7638

---

# KGe2PbO6
Calculated powder diffraction line list, Cu Kα X-rays. Input: DFT lattice parameters and positions (PBE).
Intensities are scaled so that the largest is 100.

Principal peaks in the range 10 to 90 degrees two-theta, sorted by position:
| two_theta | I (rel.) |
| --- | --- |
| 18.8 | 64 |
| 21.3 | 44 |
| 23.2 | 100 |
| 26.7 | 66 |
| 28.6 | 52 |
| 29.8 | 49 |
| 33.2 | 51 |
| 33.6 | 49 |

Structural model:
Lattice parameters (Å, degrees): 7.7349 7.7349 5.4917 97.32 97.32 90.82
Element x y z (fractional)
K  0.0910  0.9090  0.7500
K  0.9090  0.0910  0.2500
Ge  0.1985  0.3716  0.7527
Ge  0.3716  0.1985  0.2527
Ge  0.6284  0.8015  0.7473
Ge  0.8015  0.6284  0.2473
Pb  0.2823  0.7177  0.2500
Pb  0.7177  0.2823  0.7500
O  0.0068  0.2420  0.7029
O  0.1707  0.5908  0.8621
O  0.2420  0.0068  0.2029
O  0.2831  0.3693  0.4567
O  0.3693  0.2831  0.9567
O  0.4092  0.8293  0.6379
O  0.5908  0.1707  0.3621
O  0.6307  0.7169  0.0433
O  0.7169  0.6307  0.5433
O  0.7580  0.9932  0.7971
O  0.8293  0.4092  0.1379
O  0.9932  0.7580  0.2971

---

# La5Si3
Calculated powder diffraction line list, Cu Kα X-rays. Input: DFT lattice parameters and positions (PBE).
Intensities are scaled so that the largest is 100.

Principal peaks in the range 10 to 90 degrees two-theta, sorted by position:
| two_theta | I (rel.) |
| --- | --- |
| 25.7 | 58 |
| 31.6 | 100 |
| 34.2 | 46 |
| 35.4 | 33 |
| 47.3 | 16 |
| 51.0 | 34 |
| 52.8 | 21 |
| 55.4 | 18 |

Structural model:
Lattice parameters (Å, degrees): 8.9543 8.9543 8.9543 126.88 126.88 78.45
Element x y z (fractional)
La  0.0000  0.0000  0.0000
La  0.0316  0.5316  0.8580
La  0.1736  0.0316  0.5000
La  0.3264  0.8264  0.8580
La  0.4684  0.3264  0.5000
La  0.5000  0.5000  0.0000
La  0.5316  0.6736  0.5000
La  0.6736  0.1736  0.1420
La  0.8264  0.9684  0.5000
La  0.9684  0.4684  0.1420
Si  0.1130  0.3870  0.5000
Si  0.2500  0.2500  0.0000
Si  0.3870  0.8870  0.2741
Si  0.6130  0.1130  0.7259
Si  0.7500  0.7500  0.0000
Si  0.8870  0.6130  0.5000

---

# Al4InRe
Calculated powder diffraction line list, Cu Kα X-rays. Input: DFT lattice parameters and positions (PBE).
Intensities are scaled so that the largest is 100.

Principal peaks in the range 10 to 90 degrees two-theta, sorted by position:
| two_theta | I (rel.) |
| --- | --- |
| 21.1 | 67 |
| 34.8 | 98 |
| 41.1 | 100 |
| 54.9 | 16 |
| 62.4 | 36 |
| 66.7 | 32 |
| 73.5 | 20 |
| 84.0 | 16 |

Structural model:
Lattice parameters (Å, degrees): 5.1520 5.1520 5.1520 60.00 60.00 60.00
Element x y z (fractional)
Al  0.3769  0.3769  0.3769
Al  0.3769  0.3769  0.8694
Al  0.3769  0.8694  0.3769
Al  0.8694  0.3769  0.3769
In  0.0000  0.0000  0.0000
Re  0.7500  0.7500  0.7500

---

# BaLiInPd3
Calculated powder diffraction line list, Cu Kα X-rays. Input: DFT lattice parameters and positions (PBE).
Intensities are scaled so that the largest is 100.

Principal peaks in the range 10 to 90 degrees two-theta, sorted by position:
| two_theta | I (rel.) |
| --- | --- |
| 29.2 | 42 |
| 29.7 | 78 |
| 32.5 | 61 |
| 39.2 | 100 |
| 39.3 | 47 |
| 41.5 | 40 |
| 53.2 | 20 |
| 60.6 | 24 |

Structural model:
Lattice parameters (Å, degrees): 6.8681 6.8681 6.8880 90.00 90.00 126.57
Element x y z (fractional)
Ba  0.1951  0.8049  0.7500
Ba  0.8049  0.1951  0.2500
Li  0.4386  0.5614  0.7500
Li  0.5614  0.4386  0.2500
In  0.1263  0.8737  0.2500
In  0.8737  0.1263  0.7500
Pd  0.2440  0.2440  0.0000
Pd  0.2440  0.2440  0.5000
Pd  0.3500  0.6500  0.2500
Pd  0.6500  0.3500  0.7500
Pd  0.7560  0.7560  0.0000
Pd  0.7560  0.7560  0.5000

---

# Hf2UTl3Te6
Calculated powder diffraction line list, Cu Kα X-rays. Input: DFT lattice parameters and positions (PBE).
Intensities are scaled so that the largest is 100.

Principal peaks in the range 10 to 90 degrees two-theta, sorted by position:
| two_theta | I (rel.) |
| --- | --- |
| 28.4 | 100 |
| 37.6 | 41 |
| 43.4 | 37 |
| 52.7 | 18 |
| 58.7 | 11 |
| 62.3 | 14 |
| 70.5 | 14 |
| 75.8 | 10 |

Structural model:
Lattice parameters (Å, degrees): 7.2250 7.2250 8.8582 97.85 97.85 120.00
Element x y z (fractional)
Hf  0.1696  0.8304  0.0000
Hf  0.8304  0.1696  0.0000
U  0.5000  0.5000  0.0000
Tl  0.0000  0.0000  0.5000
Tl  0.3434  0.6566  0.5000
Tl  0.6566  0.3434  0.5000
Te  0.0784  0.4290  0.7907
Te  0.2146  0.2146  0.2021
Te  0.4290  0.0784  0.7907
Te  0.5710  0.9216  0.2093
Te  0.7854  0.7854  0.7979
Te  0.9216  0.5710  0.2093